Record 1
Simulated X-ray powder pattern of RbIn2Sb2Au for copper Kα, from a crystal structure in Alexandria, relaxed with GGA-PBE.

Structure:
```
data_RbIn2Sb2Au
_cell_length_a 6.497
_cell_length_b 11.737
_cell_length_c 5.120
_cell_angle_alpha 90.00
_cell_angle_beta 90.00
_cell_angle_gamma 90.00
_space_group_name_H-M_alt 'P n n m'
_space_group_IT_number 58
loop_
_space_group_symop_operation_xyz
'x,y,z'
'-x,-y,-z'
'-x,-y,z'
'x,y,-z'
'x+1/2,-y+1/2,-z+1/2'
'-x+1/2,y+1/2,z+1/2'
'-x+1/2,y+1/2,-z+1/2'
'x+1/2,-y+1/2,z+1/2'
loop_
_atom_site_label
_atom_site_fract_x
_atom_site_fract_y
_atom_site_fract_z
Rb1 0.000 0.000 0.000
In1 0.227 0.187 0.500
Sb1 0.242 0.818 0.500
Au1 0.000 0.500 0.000
```

Principal peaks in the range 10° ≤ 2θ ≤ 90°, by angle:
d_spacing  2θ/deg  Rel. int.  index
4.693  18.91  86.2  0 1 1
4.021  22.11  37.6  1 0 1
3.317  26.88  82.7  1 2 1
3.109  28.72  40.5  0 3 1
2.842  31.48  100.0  2 2 0
2.560  35.06  60.0  0 0 2
2.370  37.96  27.5  1 4 1
2.246  40.15  86.5  2 3 1
2.133  42.37  38.1  0 5 1
1.902  47.82  61.9  2 2 2

***

Record 2
Simulated X-ray powder pattern of Rb2In4SbAu3 for copper Kα, from a crystal structure in Alexandria, relaxed with GGA-PBE.

Structure:
```
data_Rb2In4SbAu3
_cell_length_a 5.089
_cell_length_b 5.089
_cell_length_c 11.334
_cell_angle_alpha 90.00
_cell_angle_beta 90.00
_cell_angle_gamma 90.00
_space_group_name_H-M_alt 'P -4 m 2'
_space_group_IT_number 115
loop_
_space_group_symop_operation_xyz
'x,y,z'
'y,-x,-z'
'-x,-y,z'
'-y,x,-z'
'-x,y,z'
'-y,-x,-z'
'x,-y,z'
'y,x,-z'
loop_
_atom_site_label
_atom_site_fract_x
_atom_site_fract_y
_atom_site_fract_z
Rb1 0.000 0.500 0.247
In1 0.000 0.000 0.500
In2 0.000 0.500 0.863
In3 0.500 0.500 0.500
Sb1 0.500 0.500 0.000
Au1 0.000 0.000 0.000
Au2 0.000 0.500 0.617
```

Principal peaks in the range 10° ≤ 2θ ≤ 90°, by angle:
d_spacing  2θ/deg  Rel. int.  index
5.667  15.64  18.1  0 0 2
4.642  19.12  23.6  1 0 1
3.036  29.42  100.0  1 1 2
2.544  35.27  62.8  2 0 0
2.227  40.51  53.5  1 1 4
2.071  43.72  13.0  1 0 5
1.949  46.59  24.2  2 1 3
1.799  50.74  22.1  2 2 0
1.548  59.74  20.7  3 1 2
1.399  66.86  22.5  3 1 4